No. 1
# Pr2B3Cl
Calculated PXRD pattern, Cu Kα (λ = 1.5418 Å). Input: a structure optimized by DFT (PBE).

Top 10 peaks for 5° ≤ 2θ ≤ 70°, in order of rising 2θ:
| 2θ/deg | I/Imax |
| --- | --- |
| 19.94 | 67 |
| 29.20 | 100 |
| 32.55 | 72 |
| 35.25 | 68 |
| 38.47 | 66 |
| 40.53 | 27 |
| 50.96 | 35 |
| 55.04 | 24 |
| 55.25 | 38 |
| 67.05 | 29 |

Crystal structure
Lattice parameters (Å, degrees): 3.5843 3.5843 17.8068 90.00 90.00 120.00
Positions (direct):
1 Pr 0.3333 0.6667 0.1290
2 Pr 0.3333 0.6667 0.3710
3 Pr 0.6667 0.3333 0.6290
4 Pr 0.6667 0.3333 0.8710
5 B 0.1664 0.3328 0.7500
6 B 0.1664 0.8336 0.7500
7 B 0.3328 0.1664 0.2500
8 B 0.6672 0.8336 0.7500
9 B 0.8336 0.1664 0.2500
10 B 0.8336 0.6672 0.2500
11 Cl 0.0000 0.0000 0.0000
12 Cl 0.0000 0.0000 0.5000

***

No. 2
# Pr8B7Cl7
Calculated PXRD pattern, Cu Kα (λ = 1.5418 Å). Input: a structure optimized by DFT (PBE).

Top 10 peaks for 5° ≤ 2θ ≤ 70°, in order of rising 2θ:
| 2θ/deg | I/Imax |
| --- | --- |
| 27.32 | 41 |
| 27.77 | 100 |
| 28.25 | 45 |
| 31.51 | 35 |
| 31.82 | 71 |
| 32.30 | 36 |
| 34.34 | 72 |
| 35.83 | 32 |
| 46.61 | 33 |
| 49.99 | 33 |

Crystal structure
Lattice parameters (Å, degrees): 7.7938 9.2261 14.3930 91.56 97.81 114.98
Positions (direct):
1 Pr 0.0176 0.1611 0.3005
2 Pr 0.1010 0.7191 0.4659
3 Pr 0.2124 0.5796 0.2464
4 Pr 0.2207 0.7285 0.9240
5 Pr 0.2610 0.4204 0.7540
6 Pr 0.2879 0.2837 0.0844
7 Pr 0.4064 0.2964 0.5320
8 Pr 0.4566 0.8388 0.6995
9 Pr 0.5434 0.1612 0.3005
10 Pr 0.5936 0.7036 0.4680
11 Pr 0.7121 0.7163 0.9156
12 Pr 0.7390 0.5796 0.2460
13 Pr 0.7793 0.2715 0.0760
14 Pr 0.7876 0.4204 0.7536
15 Pr 0.8990 0.2809 0.5341
16 Pr 0.9824 0.8389 0.6995
17 B 0.0723 0.5783 0.6321
18 B 0.1354 0.6444 0.7515
19 B 0.1740 0.4614 0.4330
20 B 0.2459 0.5384 0.5671
21 B 0.3249 0.4226 0.3745
22 B 0.3768 0.3695 0.2687
23 B 0.4651 0.5775 0.6255
24 B 0.5349 0.4225 0.3745
25 B 0.6232 0.6305 0.7313
26 B 0.6751 0.5774 0.6255
27 B 0.7541 0.4616 0.4329
28 B 0.8260 0.5386 0.5670
29 B 0.8646 0.3556 0.2485
30 B 0.9277 0.4217 0.3679
31 Cl 0.0000 0.0000 0.5000
32 Cl 0.0468 0.3686 0.9323
33 Cl 0.0790 0.9683 0.8963
34 Cl 0.1372 0.8802 0.2888
35 Cl 0.3695 0.1342 0.7081
36 Cl 0.4115 0.0302 0.1032
37 Cl 0.4670 0.6377 0.0701
38 Cl 0.5000 0.0000 0.5000
39 Cl 0.5330 0.3623 0.9299
40 Cl 0.5885 0.9698 0.8968
41 Cl 0.6305 0.8658 0.2919
42 Cl 0.8628 0.1198 0.7112
43 Cl 0.9210 0.0317 0.1037
44 Cl 0.9532 0.6314 0.0677

***

No. 3
# Sc4BCl6
Calculated PXRD pattern, Cu Kα (λ = 1.5418 Å). Input: a structure optimized by DFT (PBE).

Top 10 peaks for 5° ≤ 2θ ≤ 70°, in order of rising 2θ:
| 2θ/deg | I/Imax |
| --- | --- |
| 10.31 | 100 |
| 29.83 | 11 |
| 32.41 | 25 |
| 36.36 | 16 |
| 36.64 | 40 |
| 36.87 | 19 |
| 48.05 | 9 |
| 50.53 | 10 |
| 51.07 | 15 |
| 53.13 | 7 |

Crystal structure
Lattice parameters (Å, degrees): 11.9201 12.3506 3.6123 90.00 90.00 90.00
Positions (direct):
1 Sc 0.1049 0.0832 0.0000
2 Sc 0.1246 0.8536 0.5000
3 Sc 0.3754 0.3536 0.5000
4 Sc 0.3951 0.5832 0.0000
5 Sc 0.6049 0.4168 0.0000
6 Sc 0.6246 0.6464 0.5000
7 Sc 0.8754 0.1464 0.5000
8 Sc 0.8951 0.9168 0.0000
9 B 0.0000 0.0000 0.5000
10 B 0.5000 0.5000 0.5000
11 Cl 0.0208 0.7435 0.0000
12 Cl 0.2315 0.1813 0.5000
13 Cl 0.2434 0.4305 0.0000
14 Cl 0.2566 0.9305 0.0000
15 Cl 0.2685 0.6813 0.5000
16 Cl 0.4792 0.2435 0.0000
17 Cl 0.5208 0.7565 0.0000
18 Cl 0.7315 0.3187 0.5000
19 Cl 0.7434 0.0695 0.0000
20 Cl 0.7566 0.5695 0.0000
21 Cl 0.7685 0.8187 0.5000
22 Cl 0.9792 0.2565 0.0000

***

No. 4
# BSe2Cl
Calculated PXRD pattern, Cu Kα (λ = 1.5418 Å). Input: a structure optimized by DFT (PBE).

Top 8 peaks for 5° ≤ 2θ ≤ 70°, in order of rising 2θ:
| 2θ/deg | I/Imax |
| --- | --- |
| 23.91 | 5 |
| 27.67 | 42 |
| 39.53 | 100 |
| 46.73 | 2 |
| 48.94 | 12 |
| 57.15 | 16 |
| 62.83 | 1 |
| 64.65 | 16 |

Crystal structure
Lattice parameters (Å, degrees): 4.5590 4.5590 4.5590 60.00 60.00 60.00
Positions (direct):
1 B 0.0000 0.0000 0.0000
2 Se 0.2500 0.2500 0.2500
3 Se 0.7500 0.7500 0.7500
4 Cl 0.5000 0.5000 0.5000

***

No. 5
# TlBCl2
Calculated PXRD pattern, Cu Kα (λ = 1.5418 Å). Input: a structure optimized by DFT (PBE).

Top 10 peaks for 5° ≤ 2θ ≤ 70°, in order of rising 2θ:
| 2θ/deg | I/Imax |
| --- | --- |
| 21.50 | 80 |
| 24.88 | 57 |
| 35.47 | 100 |
| 41.86 | 46 |
| 43.81 | 18 |
| 51.04 | 17 |
| 56.00 | 20 |
| 57.59 | 24 |
| 63.69 | 35 |
| 68.06 | 15 |

Crystal structure
Lattice parameters (Å, degrees): 5.0614 5.0614 5.0614 60.00 60.00 60.00
Positions (direct):
1 Tl 0.0000 0.0000 0.0000
2 B 0.2500 0.2500 0.2500
3 Cl 0.5000 0.5000 0.5000
4 Cl 0.7500 0.7500 0.7500

***

No. 6
# Y3BCl3
Calculated PXRD pattern, Cu Kα (λ = 1.5418 Å). Input: a structure optimized by DFT (PBE).

Top 10 peaks for 5° ≤ 2θ ≤ 70°, in order of rising 2θ:
| 2θ/deg | I/Imax |
| --- | --- |
| 11.43 | 38 |
| 19.87 | 14 |
| 28.24 | 29 |
| 30.56 | 43 |
| 32.72 | 100 |
| 38.58 | 23 |
| 46.95 | 63 |
| 58.41 | 19 |
| 62.33 | 16 |
| 67.36 | 13 |

Crystal structure
Lattice parameters (Å, degrees): 9.4801 9.4801 9.4801 109.47 109.47 109.47
Positions (direct):
1 Y 0.0157 0.0313 0.2657
2 Y 0.0157 0.4843 0.7500
3 Y 0.0313 0.2657 0.0157
4 Y 0.2343 0.2657 0.7500
5 Y 0.2343 0.4687 0.4843
6 Y 0.2657 0.0157 0.0313
7 Y 0.2657 0.7500 0.2343
8 Y 0.4687 0.4843 0.2343
9 Y 0.4843 0.2343 0.4687
10 Y 0.4843 0.7500 0.0157
11 Y 0.7500 0.0157 0.4843
12 Y 0.7500 0.2343 0.2657
13 B 0.0000 0.2500 0.5000
14 B 0.2500 0.2500 0.2500
15 B 0.2500 0.5000 0.0000
16 B 0.5000 0.0000 0.2500
17 Cl 0.2500 0.7559 0.7441
18 Cl 0.2500 0.9941 0.5059
19 Cl 0.5059 0.2500 0.9941
20 Cl 0.5059 0.7559 0.5117
21 Cl 0.5117 0.5059 0.7559
22 Cl 0.7441 0.2500 0.7559
23 Cl 0.7441 0.9941 0.9883
24 Cl 0.7559 0.5117 0.5059
25 Cl 0.7559 0.7441 0.2500
26 Cl 0.9883 0.7441 0.9941
27 Cl 0.9941 0.5059 0.2500
28 Cl 0.9941 0.9883 0.7441

***

No. 7
# Co5B16
Calculated PXRD pattern, Cu Kα (λ = 1.5418 Å). Input: a structure optimized by DFT (PBE).

Top 10 peaks for 5° ≤ 2θ ≤ 70°, in order of rising 2θ:
| 2θ/deg | I/Imax |
| --- | --- |
| 9.28 | 42 |
| 16.88 | 41 |
| 24.80 | 45 |
| 28.10 | 82 |
| 32.78 | 43 |
| 36.09 | 100 |
| 39.76 | 58 |
| 45.31 | 32 |
| 45.69 | 36 |
| 50.75 | 32 |

Crystal structure
Lattice parameters (Å, degrees): 19.0521 2.9241 5.4648 90.00 90.00 90.00
Positions (direct):
1 Co 0.0000 0.0000 0.0000
2 Co 0.1535 0.0000 0.4287
3 Co 0.1834 0.5000 0.0491
4 Co 0.3166 0.5000 0.0491
5 Co 0.3465 0.0000 0.4287
6 Co 0.5000 0.0000 0.0000
7 Co 0.6535 0.0000 0.5713
8 Co 0.6834 0.5000 0.9509
9 Co 0.8166 0.5000 0.9509
10 Co 0.8465 0.0000 0.5713
11 B 0.0091 0.5000 0.7090
12 B 0.0682 0.0000 0.6945
13 B 0.0703 0.5000 0.4937
14 B 0.0770 0.5000 0.1787
15 B 0.1049 0.0000 0.0167
16 B 0.1613 0.0000 0.7888
17 B 0.2029 0.5000 0.6702
18 B 0.2500 0.0000 0.2198
19 B 0.2500 0.5000 0.3928
20 B 0.2971 0.5000 0.6702
21 B 0.3387 0.0000 0.7888
22 B 0.3951 0.0000 0.0167
23 B 0.4230 0.5000 0.1787
24 B 0.4297 0.5000 0.4937
25 B 0.4318 0.0000 0.6945
26 B 0.4909 0.5000 0.7090
27 B 0.5091 0.5000 0.2910
28 B 0.5682 0.0000 0.3055
29 B 0.5703 0.5000 0.5063
30 B 0.5770 0.5000 0.8213
31 B 0.6049 0.0000 0.9833
32 B 0.6613 0.0000 0.2112
33 B 0.7029 0.5000 0.3298
34 B 0.7500 0.0000 0.7802
35 B 0.7500 0.5000 0.6072
36 B 0.7971 0.5000 0.3298
37 B 0.8387 0.0000 0.2112
38 B 0.8951 0.0000 0.9833
39 B 0.9230 0.5000 0.8213
40 B 0.9297 0.5000 0.5063
41 B 0.9318 0.0000 0.3055
42 B 0.9909 0.5000 0.2910